The following is a simulated X-ray diffraction stick pattern of Ho2BiWO8. It was derived from a PBE+U-relaxed structure, using Cu Kα (λ = 1.5418 Å).
Kinematic intensities with the Lorentz-polarization factor, no thermal factor.

Crystal structure
```
Ho2BiWO8
1.0
5.028 0.000 0.000
0.000 6.826 0.000
-0.155 0.000 5.028
Ho Bi W O
2 1 1 8
direct
0.000 0.242 0.000
0.000 0.758 0.000
0.500 0.500 0.500
0.500 0.000 0.500
0.191 0.500 0.190
0.222 0.000 0.221
0.316 0.215 0.683
0.316 0.785 0.683
0.684 0.215 0.317
0.684 0.785 0.317
0.778 0.000 0.779
0.809 0.500 0.810
```

Top 8 peaks for 2θ = 10–90°, low angle first:
hkl  2theta  intensity
1 0 -1  24.66  57
1 0 1  25.44  51
1 2 0  31.69  100
0 0 2  35.73  31
2 2 -1  48.05  40
2 2 1  48.93  36
0 2 3  61.67  21
0 4 2  66.20  12